Starting from the GGA-PBE geometry in the Materials Project, the powder diffraction line list of Pb3O4 was computed for Cu Ka.
Kinematic intensities with the Lorentz-polarization factor, no thermal factor.

Top 6 peaks for 2θ = 10–90°, low angle first:
| hkl | 2θ/deg | I (rel.) |
| --- | --- | --- |
| 1 2 1 | 25.32 | 75 |
| 2 1 1 | 26.10 | 100 |
| 1 1 2 | 29.85 | 65 |
| 1 3 0 | 30.52 | 54 |
| 0 2 2 | 32.65 | 37 |
| 3 3 2 | 50.72 | 55 |

Crystal structure
Lattice parameters (Å, degrees): 8.722 9.329 6.781 90.00 90.00 90.00
Positions (direct):
Pb 0.000 0.000 0.249
Pb 0.000 0.000 0.751
Pb 0.133 0.325 0.500
Pb 0.158 0.657 0.000
Pb 0.342 0.157 0.000
Pb 0.367 0.825 0.500
Pb 0.500 0.500 0.249
Pb 0.500 0.500 0.751
Pb 0.633 0.175 0.500
Pb 0.658 0.843 0.000
Pb 0.842 0.343 0.000
Pb 0.867 0.675 0.500
O 0.098 0.871 0.500
O 0.139 0.909 0.000
O 0.171 0.171 0.249
O 0.171 0.171 0.751
O 0.329 0.671 0.249
O 0.329 0.671 0.751
O 0.361 0.409 0.000
O 0.402 0.371 0.500
O 0.598 0.629 0.500
O 0.639 0.591 0.000
O 0.671 0.329 0.249
O 0.671 0.329 0.751
O 0.829 0.829 0.249
O 0.829 0.829 0.751
O 0.861 0.091 0.000
O 0.902 0.129 0.500